# Li7FeO4F2
Theoretical powder XRD pattern, a wavelength of 1.5418 Å. Input: a structure optimized by DFT (PBE+U).
Neutral-atom scattering factors, no anomalous dispersion.

Atomic structure:
Cell lengths 5.527, 5.895, 9.945 Å; angles 74.56, 88.29, 62.54 degrees
Space group P1 (No. 1)
Unique sites:
Li: 0.000 0.000 0.000 [1 per cell]
Li: 0.000 0.230 0.579 [1 per cell]
Li: 0.431 0.119 0.416 [1 per cell]
Li: 0.433 0.845 0.841 [1 per cell]
Li: 0.447 0.639 0.284 [1 per cell]
Li: 0.471 0.183 0.211 [1 per cell]
Li: 0.472 0.783 0.074 [1 per cell]
Li: 0.500 0.509 0.517 [1 per cell]
Li: 0.530 0.319 0.728 [1 per cell]
Li: 0.940 0.908 0.210 [1 per cell]
Li: 0.944 0.526 0.902 [1 per cell]
Li: 0.944 0.716 0.686 [1 per cell]
Li: 0.959 0.313 0.338 [1 per cell]
Li: 0.982 0.444 0.136 [1 per cell]
Fe: 0.472 0.333 0.003 [1 per cell]
Fe: 0.907 0.770 0.436 [1 per cell]
O: 0.181 0.665 0.079 [1 per cell]
O: 0.233 0.458 0.348 [1 per cell]
O: 0.292 0.116 0.013 [1 per cell]
O: 0.637 0.478 0.923 [1 per cell]
O: 0.667 0.841 0.263 [1 per cell]
O: 0.725 0.113 0.559 [1 per cell]
O: 0.753 0.251 0.161 [1 per cell]
O: 0.799 0.562 0.498 [1 per cell]
F: 0.162 0.993 0.393 [1 per cell]
F: 0.169 0.357 0.751 [1 per cell]
F: 0.287 0.702 0.667 [1 per cell]
F: 0.761 0.887 0.848 [1 per cell]

Most intense lines, 10 to 90 degrees two-theta, low angle first:
d (Å), 2θ/deg, I_rel, (hkl)
5.072, 17.48, 95, 0 1 1
4.802, 18.48, 79, 1 1 0
4.764, 18.62, 66, 0 0 2
4.545, 19.53, 82, 1 0 -1
4.161, 21.36, 55, 1 0 1
2.880, 31.06, 35, 1 1 3
2.761, 32.43, 100, -1 1 2
2.538, 35.37, 79, 1 0 3
2.014, 45.00, 33, 2 2 -2
1.978, 45.87, 37, 0 1 5


# LiFe5O3F5
Theoretical powder XRD pattern, a wavelength of 1.5418 Å. Input: a structure optimized by DFT (PBE+U).
Neutral-atom scattering factors, no anomalous dispersion.

Atomic structure:
Cell lengths 10.850, 6.243, 6.379 Å; angles 90.00, 125.29, 90.00 degrees
Space group Cm (No. 8)
Unique sites:
Li: 0.000 0.000 0.000 [2 per cell]
Fe: 0.153 0.500 0.937 [2 per cell]
Fe: 0.244 0.236 0.484 [4 per cell]
Fe: 0.325 0.000 0.074 [2 per cell]
Fe: 0.496 0.500 0.498 [2 per cell]
O: 0.220 0.000 0.699 [2 per cell]
O: 0.225 0.000 0.249 [2 per cell]
O: 0.271 0.500 0.311 [2 per cell]
F: 0.255 0.500 0.744 [2 per cell]
F: 0.488 0.254 0.232 [4 per cell]
F: 0.496 0.252 0.762 [4 per cell]

Most intense lines, 10 to 90 degrees two-theta, low angle first:
d (Å), 2θ/deg, I_rel, (hkl)
4.428, 20.05, 17, 2 0 0
3.189, 27.98, 23, 2 0 -2
3.157, 28.27, 37, 1 1 1
2.695, 33.24, 24, 3 1 -2
2.677, 33.47, 20, 0 2 1
2.668, 33.59, 100, 2 2 -1
2.231, 40.44, 23, 2 2 -2
1.727, 53.03, 19, 2 2 -3
1.578, 58.48, 18, 2 2 2
1.565, 59.04, 23, 6 2 -2


# Li2FeO2F
Theoretical powder XRD pattern, a wavelength of 1.5418 Å. Input: a structure optimized by DFT (PBE+U).
Neutral-atom scattering factors, no anomalous dispersion.

Atomic structure:
Cell lengths 5.129, 9.056, 9.886 Å; angles 90.00, 100.27, 90.00 degrees
Space group C2/c (No. 15)
Unique sites:
Li: 0.000 0.069 0.250 [4 per cell]
Li: 0.242 0.061 0.999 [8 per cell]
Li: 0.250 0.250 0.500 [4 per cell]
Fe: 0.000 0.248 0.750 [4 per cell]
Fe: 0.000 0.439 0.250 [4 per cell]
O: 0.113 0.412 0.632 [8 per cell]
O: 0.140 0.096 0.636 [8 per cell]
F: 0.125 0.251 0.125 [8 per cell]

Most intense lines, 10 to 90 degrees two-theta, low angle first:
d (Å), 2θ/deg, I_rel, (hkl)
4.864, 18.24, 100, 0 0 2
4.409, 20.14, 33, 1 1 0
4.105, 21.65, 16, 0 2 1
3.553, 25.06, 18, 1 1 -2
2.562, 35.02, 28, 1 3 -1
2.524, 35.57, 15, 2 0 0
2.121, 42.63, 84, 1 3 -3
2.093, 43.23, 42, 2 0 2
1.491, 62.27, 35, 2 0 -6
1.488, 62.42, 24, 3 3 -1